# 1
This entry pairs a crystal structure of EuZn2 with its computed XRD peak list. Radiation: copper Kα. Structure: a DFT-relaxed cell (PBE, the Materials Project).
Neutral-atom scattering factors, no anomalous dispersion.

Peak list (10 most intense, 2θ from 10° to 90°, in order of rising 2θ)
2θ (°)  Rel. int.  h k l
22.3  168  1 0 1
32.5  480  1 1 2
32.7  1000  1 2 1
33.4  363  0 2 2
37.8  218  0 3 1
38.5  358  2 0 0
40.2  401  1 0 3
51.9  205  2 2 2
55.1  141  2 3 1
64.3  224  1 3 4

Structural model:
Unit cell a=4.6729 b=7.5172 c=7.6706 alpha=90.00 beta=90.00 gamma=90.00
Space group Imma (No. 74)
Inequivalent atoms, fractional coordinates:
1 Eu 0.0000 0.2500 0.0489 (multiplicity 4)
2 Zn 0.0000 0.0617 0.6643 (multiplicity 8)


# 2
This entry pairs a crystal structure of EuZn5 with its computed XRD peak list. Radiation: copper Kα. Structure: a DFT-relaxed cell (PBE, the Materials Project).
Neutral-atom scattering factors, no anomalous dispersion.

Peak list (10 most intense, 2θ from 10° to 90°, in order of rising 2θ)
2θ (°)  Rel. int.  h k l
28.2  416  1 0 1
32.9  302  1 1 0
38.1  351  2 0 0
39.2  1000  1 1 1
42.3  259  0 0 2
54.6  140  1 1 2
58.2  198  2 0 2
62.9  238  3 0 1
68.9  171  2 2 0
84.3  195  2 2 2

Structural model:
Unit cell a=5.4504 b=5.4504 c=4.2765 alpha=90.00 beta=90.00 gamma=120.00
Space group P6/mmm (No. 191)
Inequivalent atoms, fractional coordinates:
1 Eu 0.0000 0.0000 0.0000 (multiplicity 1)
2 Zn 0.0000 0.5000 0.5000 (multiplicity 3)
3 Zn 0.3333 0.6667 0.0000 (multiplicity 2)


# 3
This entry pairs a crystal structure of Eu3Zr with its computed XRD peak list. Radiation: copper Kα. Structure: a DFT-relaxed cell (PBE, the Materials Project).
Neutral-atom scattering factors, no anomalous dispersion.

Peak list (10 most intense, 2θ from 10° to 90°, in order of rising 2θ)
2θ (°)  Rel. int.  h k l
30.0  1000  1 1 2
34.5  345  2 0 0
35.2  163  0 0 4
49.6  122  2 2 0
50.2  237  2 0 4
59.1  289  3 1 2
60.0  140  1 1 6
62.3  123  2 2 4
80.7  60  3 3 2
81.5  118  3 1 6

Structural model:
Unit cell a=5.1953 b=5.1953 c=10.1853 alpha=90.00 beta=90.00 gamma=90.00
Space group I4/mmm (No. 139)
Inequivalent atoms, fractional coordinates:
1 Eu 0.0000 0.0000 0.0000 (multiplicity 2)
2 Eu 0.0000 0.5000 0.2500 (multiplicity 4)
3 Zr 0.0000 0.0000 0.5000 (multiplicity 2)